Ce4As7Au5: calculated powder XRD pattern (a wavelength of 1.5418 Å), based on a GGA-PBE-relaxed structure.
Peak positions follow from Bragg's law for the DFT cell and can differ from measured ones.

Atomic structure:
Cell lengths 10.6876, 10.6876, 10.6876 Å; angles 148.08, 148.08, 45.76 degrees
Atoms (fractional coordinates):
Ce 0.1430 0.1430 0.5151
Ce 0.3722 0.8570 0.0000
Ce 0.6278 0.6278 0.4849
Ce 0.8570 0.3722 0.0000
As 0.0000 0.5000 0.5000
As 0.0922 0.6027 0.0000
As 0.3973 0.3973 0.4894
As 0.5000 0.0000 0.5000
As 0.5000 0.5000 0.0000
As 0.6027 0.0922 0.0000
As 0.9078 0.9078 0.5106
Au 0.0000 0.0000 0.0000
Au 0.2501 0.2501 0.0000
Au 0.2500 0.7500 0.5000
Au 0.7500 0.2500 0.5000
Au 0.7499 0.7499 0.0000

Top 10 peaks for 2θ = 5–70°, in order of rising 2θ:
9.847 Å, 2θ = 8.98°, I = 21; 4.923 Å, 2θ = 18.02°, I = 6; 3.829 Å, 2θ = 23.23°, I = 6; 3.176 Å, 2θ = 28.10°, I = 6; 2.523 Å, 2θ = 35.58°, I = 100; 2.462 Å, 2θ = 36.50°, I = 18; 2.078 Å, 2θ = 43.56°, I = 31; 1.588 Å, 2θ = 58.09°, I = 19; 1.469 Å, 2θ = 63.30°, I = 10; 1.433 Å, 2θ = 65.10°, I = 9